Simulated XRD peak list
Compound: Fe4O5F3
Radiation: λ = 1.5418 Å (Cu Kα)
Structure: a structure optimized by DFT (GGA+U)
Intensities are scaled so that the largest is 100.

Structure:
abc: 4.740 6.030 9.929
angles: 107.52 95.03 90.14
Sites, in units of the cell vectors:
Fe 0.000 0.000 0.000
Fe 0.009 0.512 0.002
Fe 0.436 0.389 0.274
Fe 0.470 0.637 0.771
Fe 0.479 0.884 0.254
Fe 0.538 0.136 0.742
Fe 0.953 0.752 0.494
Fe 0.974 0.262 0.508
O 0.151 0.463 0.419
O 0.184 0.714 0.914
O 0.284 0.087 0.161
O 0.284 0.584 0.161
O 0.294 0.337 0.662
O 0.655 0.677 0.350
O 0.667 0.185 0.354
O 0.681 0.929 0.849
O 0.693 0.436 0.853
O 0.802 0.054 0.596
F 0.169 0.959 0.410
F 0.188 0.206 0.904
F 0.284 0.835 0.656
F 0.780 0.565 0.607
F 0.793 0.805 0.100
F 0.812 0.301 0.089

Top 10 peaks for 2θ from 10° to 90°, by angle:
- hkl 1 0 -2, 3.502 Å, I 100
- hkl 1 0 2, 3.191 Å, I 88
- hkl 1 -2 1, 2.540 Å, I 90
- hkl 0 0 4, 2.358 Å, I 17
- hkl 1 -2 3, 2.192 Å, I 18
- hkl -1 2 3, 1.776 Å, I 29
- hkl 1 2 -5, 1.770 Å, I 27
- hkl 1 2 3, 1.687 Å, I 48
- hkl 0 2 5, 1.395 Å, I 19
- hkl 0 2 -7, 1.393 Å, I 17